The following is a computed X-ray diffraction stick pattern of LiV4O10. It was derived from a cell relaxed with PBE+U, using Cu Kα, 1.54184 Å.
Lines closer than 0.1° are merged.

Most intense lines, 2θ = 15–90°, by angle:
18.11 deg, rel. 96, (1 0 1)
21.69 deg, rel. 92, (1 0 -1)
27.86 deg, rel. 100, (0 2 0)
28.49 deg, rel. 71, (0 1 2)
28.72 deg, rel. 67, (2 0 0)
30.12 deg, rel. 70, (1 2 1)

Cell and atoms:
```
data_LiV4O10
_chemical_formula_sum 'Li1 V4 O10'
_cell_length_a 6.338
_cell_length_b 6.586
_cell_length_c 6.637
_cell_angle_alpha 76.77
_cell_angle_beta 79.05
_cell_angle_gamma 85.24
_symmetry_space_group_name_H-M 'P 1'
_symmetry_Int_Tables_number 1
loop_
_symmetry_equiv_pos_as_xyz
'x,y,z'
loop_
_atom_site_label
_atom_site_type_symbol
_atom_site_fract_x
_atom_site_fract_y
_atom_site_fract_z
_atom_site_occupancy
Li1 Li 0.000 0.000 0.000 1
V1 V 0.416 0.691 0.844 1
V2 V 0.431 0.209 0.712 1
V3 V 0.569 0.791 0.288 1
V4 V 0.584 0.309 0.156 1
O1 O 0.159 0.739 0.910 1
O2 O 0.170 0.189 0.743 1
O3 O 0.459 0.701 0.554 1
O4 O 0.461 0.045 0.207 1
O5 O 0.478 0.383 0.884 1
O6 O 0.522 0.617 0.116 1
O7 O 0.539 0.955 0.793 1
O8 O 0.541 0.299 0.446 1
O9 O 0.830 0.811 0.257 1
O10 O 0.841 0.261 0.090 1
```